For CsB2P2HO9, a structure optimized by DFT (PBE) gives the simulated X-ray powder pattern in this record (CuKα).

Cell and atoms:
```
data_CsB2P2HO9
_chemical_formula_sum 'Cs4 B8 P8 H4 O36'
_space_group_name_H-M_alt 'P 1 21/c 1'
_space_group_IT_number 14
_cell_length_a 6.9489
_cell_length_b 12.6816
_cell_length_c 9.1167
_cell_angle_alpha 90.00
_cell_angle_beta 98.27
_cell_angle_gamma 90.00
loop_
_space_group_symop_operation_xyz
'x,y,z'
'-x,-y,-z'
'-x,y+1/2,-z+1/2'
'x,-y+1/2,z+1/2'
loop_
_atom_site_label
_atom_site_type_symbol
_atom_site_fract_x
_atom_site_fract_y
_atom_site_fract_z
_atom_site_occupancy
Cs1 Cs 0.2221 0.1205 0.1918 1
B1 B 0.1197 0.6347 0.9717 1
B2 B 0.4253 0.6460 0.8602 1
P1 P 0.2188 0.0416 0.6655 1
P2 P 0.3577 0.7054 0.5575 1
H1 H 0.2706 0.5139 0.3972 1
O1 O 0.0942 0.1313 0.5862 1
O2 O 0.1470 0.5688 0.1134 1
O3 O 0.1486 0.7457 0.0213 1
O4 O 0.1979 0.0468 0.8337 1
O5 O 0.2389 0.6013 0.8674 1
O6 O 0.3610 0.5941 0.5007 1
O7 O 0.4314 0.0566 0.6399 1
O8 O 0.4324 0.7142 0.7266 1
O9 O 0.4967 0.7159 0.9894 1
```

The 6 most intense peaks (5 to 70 degrees two-theta), by angle:
2θ 23.06, I 87.3, (1 1 -2)
2θ 24.72, I 84.3, (1 3 0)
2θ 25.12, I 49.4, (1 0 2)
2θ 25.93, I 100.0, (2 0 0)
2θ 27.35, I 78.6, (1 3 1)
2θ 29.97, I 74.8, (2 2 -1)